Simulated powder XRD pattern
Compound: MgVF4
Radiation: λ = 1.5418 Å (Cu Kα)
Structure: a structure optimized by DFT (GGA+U)
Peak positions follow from Bragg's law for the DFT cell and can differ from measured ones.

Cell and atoms:
a b c (Å): 6.806 6.819 3.185
angles (deg): 90.00 90.00 90.00
Sites, in units of the cell vectors:
Mg1 0.000 0.000 0.000
Mg2 0.500 0.500 0.000
V1 0.000 0.500 0.500
V2 0.500 0.000 0.500
F1 0.000 0.188 0.500
F2 0.000 0.812 0.500
F3 0.206 0.500 0.000
F4 0.294 0.000 0.000
F5 0.500 0.312 0.500
F6 0.500 0.688 0.500
F7 0.706 0.000 0.000
F8 0.794 0.500 0.000

Most intense lines, 5 to 70 degrees two-theta, low angle first:
2θ 18.4, I = 14
2θ 26.2, I = 100
2θ 33.7, I = 34
2θ 38.7, I = 51
2θ 41.9, I = 19
2θ 51.2, I = 70
2θ 53.9, I = 13
2θ 57.9, I = 14
2θ 64.6, I = 13
2θ 65.1, I = 31

***

Simulated powder XRD pattern
Compound: MgWF4
Radiation: λ = 1.5418 Å (Cu Kα)
Structure: a structure optimized by DFT (GGA+U)
Peak positions follow from Bragg's law for the DFT cell and can differ from measured ones.

Cell and atoms:
a b c (Å): 6.843 6.843 6.843
angles (deg): 136.76 126.36 71.26
Sites, in units of the cell vectors:
Mg1 0.250 0.250 0.000
Mg2 0.750 0.750 0.000
W1 0.000 0.500 0.500
W2 0.500 0.000 0.500
F1 0.011 0.393 0.123
F2 0.230 0.107 0.618
F3 0.270 0.888 0.877
F4 0.489 0.612 0.382
F5 0.511 0.388 0.618
F6 0.730 0.112 0.123
F7 0.770 0.893 0.382
F8 0.989 0.607 0.877

Most intense lines, 5 to 70 degrees two-theta, low angle first:
2θ 15.9, I = 41
2θ 22.8, I = 46
2θ 27.9, I = 100
2θ 28.9, I = 22
2θ 33.2, I = 18
2θ 39.8, I = 22
2θ 43.8, I = 15
2θ 48.8, I = 19
2θ 50.6, I = 20
2θ 54.8, I = 16

***

Simulated powder XRD pattern
Compound: MgWF5
Radiation: λ = 1.5418 Å (Cu Kα)
Structure: a structure optimized by DFT (GGA+U)
Peak positions follow from Bragg's law for the DFT cell and can differ from measured ones.

Cell and atoms:
a b c (Å): 5.427 10.296 8.056
angles (deg): 90.00 107.39 90.00
Sites, in units of the cell vectors:
Mg1 0.012 0.011 0.306
Mg2 0.012 0.489 0.806
Mg3 0.988 0.511 0.194
Mg4 0.988 0.989 0.694
W1 0.427 0.246 0.144
W2 0.427 0.254 0.644
W3 0.573 0.746 0.356
W4 0.573 0.754 0.856
F1 0.129 0.115 0.144
F2 0.129 0.385 0.644
F3 0.153 0.102 0.535
F4 0.153 0.398 0.035
F5 0.262 0.626 0.834
F6 0.262 0.874 0.334
F7 0.318 0.595 0.257
F8 0.318 0.905 0.757
F9 0.402 0.184 0.888
F10 0.402 0.316 0.388
F11 0.598 0.684 0.612
F12 0.598 0.816 0.112
F13 0.682 0.095 0.243
F14 0.682 0.405 0.743
F15 0.738 0.126 0.666
F16 0.738 0.374 0.166
F17 0.847 0.602 0.965
F18 0.847 0.898 0.465
F19 0.871 0.615 0.356
F20 0.871 0.885 0.856

Most intense lines, 5 to 70 degrees two-theta, low angle first:
2θ 17.1, I = 46
2θ 17.2, I = 57
2θ 19.2, I = 29
2θ 24.4, I = 100
2θ 24.7, I = 75
2θ 25.9, I = 37
2θ 30.0, I = 18
2θ 42.4, I = 24
2θ 43.8, I = 18
2θ 50.7, I = 26

***

Simulated powder XRD pattern
Compound: MnF
Radiation: λ = 1.5418 Å (Cu Kα)
Structure: a structure optimized by DFT (GGA+U)
Peak positions follow from Bragg's law for the DFT cell and can differ from measured ones.

Cell and atoms:
a b c (Å): 6.236 5.878 5.176
angles (deg): 68.34 61.17 50.49
Sites, in units of the cell vectors:
Mn1 0.101 0.649 0.649
Mn2 0.351 0.899 0.899
Mn3 0.649 0.101 0.101
Mn4 0.899 0.351 0.351
F1 0.239 0.239 0.511
F2 0.489 0.489 0.761
F3 0.511 0.511 0.239
F4 0.761 0.761 0.489

Most intense lines, 5 to 70 degrees two-theta, low angle first:
2θ 29.2, I = 100
2θ 32.5, I = 84
2θ 32.9, I = 16
2θ 35.1, I = 24
2θ 43.1, I = 15
2θ 46.0, I = 26
2θ 52.1, I = 63
2θ 54.8, I = 18
2θ 57.5, I = 29
2θ 62.3, I = 14